The following is a computed PXRD pattern of Dy2Ho2CI2Br2Cl. It was derived from a cell relaxed with PBE, using Cu Ka.
Neutral-atom scattering factors, no anomalous dispersion.

Top 12 peaks for 2θ from 10° to 90°, most intense first:
2theta, I/Imax
32.41, 100
11.31, 67
29.58, 44
34.09, 32
44.24, 26
44.65, 21
47.57, 20
34.33, 19
33.60, 17
31.08, 16
23.79, 15
57.02, 13

Atomic structure:
```
Dy2Ho2CI2Br2Cl
1.0
9.2532 -1.9116 0.0000
9.2532 1.9116 0.0000
-1.6253 0.0000 7.8264
Dy Ho C I Br Cl
2 2 1 2 2 1
Direct
0.1325 0.1325 0.0702 Dy
0.8675 0.8675 0.9298 Dy
0.4990 0.4990 0.2051 Ho
0.5010 0.5010 0.7949 Ho
0.0000 0.0000 0.0000 C
0.3290 0.3290 0.1958 I
0.6710 0.6710 0.8042 I
0.3444 0.3444 0.6601 Br
0.6556 0.6556 0.3399 Br
0.0000 0.0000 0.5000 Cl
```



The following is a computed PXRD pattern of Dy4CI2Br2Cl. It was derived from a cell relaxed with PBE, using Cu Ka.
Neutral-atom scattering factors, no anomalous dispersion.

Top 12 peaks for 2θ from 10° to 90°, most intense first:
2theta, I/Imax
32.32, 100
11.27, 68
29.50, 43
33.99, 33
44.01, 26
33.64, 21
44.64, 21
47.41, 19
34.28, 18
30.95, 15
37.57, 14
23.71, 14

Atomic structure:
```
Dy4CI2Br2Cl
1.0
9.2638 -1.9176 0.0000
9.2638 1.9176 0.0000
-1.5792 0.0000 7.8547
Dy C I Br Cl
4 1 2 2 1
Direct
0.0018 0.0018 0.2944 Dy
0.3679 0.3679 0.4304 Dy
0.6321 0.6321 0.5696 Dy
0.9982 0.9982 0.7056 Dy
0.5000 0.5000 0.5000 C
0.1726 0.1726 0.3059 I
0.8274 0.8274 0.6941 I
0.1550 0.1550 0.8382 Br
0.8450 0.8450 0.1618 Br
0.5000 0.5000 0.0000 Cl
```



Repeat the second record exactly.
The following is a computed PXRD pattern of Dy4CI2Br2Cl. It was derived from a cell relaxed with PBE, using Cu Ka.
Neutral-atom scattering factors, no anomalous dispersion.

Top 12 peaks for 2θ from 10° to 90°, most intense first:
2theta, I/Imax
32.32, 100
11.27, 68
29.50, 43
33.99, 33
44.01, 26
33.64, 21
44.64, 21
47.41, 19
34.28, 18
30.95, 15
37.57, 14
23.71, 14

Atomic structure:
```
Dy4CI2Br2Cl
1.0
9.2638 -1.9176 0.0000
9.2638 1.9176 0.0000
-1.5792 0.0000 7.8547
Dy C I Br Cl
4 1 2 2 1
Direct
0.0018 0.0018 0.2944 Dy
0.3679 0.3679 0.4304 Dy
0.6321 0.6321 0.5696 Dy
0.9982 0.9982 0.7056 Dy
0.5000 0.5000 0.5000 C
0.1726 0.1726 0.3059 I
0.8274 0.8274 0.6941 I
0.1550 0.1550 0.8382 Br
0.8450 0.8450 0.1618 Br
0.5000 0.5000 0.0000 Cl
```